Theoretical powder diffractogram of Sr6RhAu2 for Cu Kα (λ = 1.5418 Å), from a DFT-relaxed cell (GGA-PBE, Alexandria).

Top 10 peaks for 10 to 90 degrees two-theta, by angle:
d [Å]  two_theta  Rel. int.
4.950  17.92  39
4.901  18.10  39
3.240  27.53  100
3.052  29.26  50
3.021  29.57  83
2.733  32.76  65
2.725  32.87  42
2.591  34.62  56
2.521  35.61  54
2.182  41.38  43

Structural model:
```
Sr6RhAu2
1.0
7.3976 0.0000 0.0000
0.0000 8.2983 0.0000
-7.2184 0.0000 10.9000
Sr Rh Au
12 2 4
direct
0.0964 0.0437 0.2466
0.0964 0.4563 0.7466
0.2291 0.6879 0.0675
0.2291 0.8121 0.5675
0.3936 0.1701 0.0660
0.3936 0.3299 0.5660
0.6064 0.6701 0.4340
0.6064 0.8299 0.9340
0.7709 0.1879 0.4325
0.7709 0.3121 0.9325
0.9036 0.5437 0.2534
0.9036 0.9563 0.7534
0.0000 0.0000 0.0000
0.0000 0.5000 0.5000
0.2995 0.1157 0.7479
0.2995 0.3843 0.2479
0.7005 0.6157 0.7521
0.7005 0.8843 0.2521
```

***

Theoretical powder diffractogram of ErSc2Te4 for Cu Kα (λ = 1.5418 Å), from a DFT-relaxed cell (GGA-PBE, Alexandria).

Top 10 peaks for 10 to 90 degrees two-theta, by angle:
d [Å]  two_theta  Rel. int.
6.465  13.70  27
3.242  27.52  32
3.221  27.70  100
2.528  35.51  35
2.520  35.63  42
2.099  43.10  38
2.090  43.28  19
1.971  46.05  14
1.758  52.03  27
1.343  70.03  14

Structural model:
```
ErSc2Te4
1.0
7.8942 -2.0905 0.0000
7.8942 2.0905 0.0000
-3.3126 0.0000 6.4834
Er Sc Te
1 2 4
direct
0.0000 0.0000 0.0000
0.2531 0.2531 0.2737
0.7469 0.7469 0.7263
0.1238 0.1238 0.4620
0.3664 0.3664 0.0343
0.6336 0.6336 0.9657
0.8762 0.8762 0.5380
```

***

Theoretical powder diffractogram of Pm6NdSm2Y for Cu Kα (λ = 1.5418 Å), from a DFT-relaxed cell (GGA-PBE, Alexandria).

Top 10 peaks for 10 to 90 degrees two-theta, by angle:
d [Å]  two_theta  Rel. int.
3.184  28.02  54
2.992  29.86  71
2.967  30.12  100
2.923  30.58  69
2.894  30.90  58
2.881  31.05  99
2.837  31.54  34
2.723  32.90  95
2.671  33.56  23
1.552  59.55  25

Structural model:
```
Pm6NdSm2Y
1.0
4.5984 -7.7181 0.0000
4.5984 7.7181 0.0000
-1.4400 0.0000 9.7379
Pm Nd Sm Y
12 2 4 2
direct
0.0230 0.5732 0.1859
0.1213 0.7532 0.5553
0.2468 0.8787 0.9447
0.2913 0.4992 0.3795
0.4268 0.9770 0.3141
0.4992 0.2913 0.8795
0.5008 0.7087 0.1205
0.5732 0.0230 0.6859
0.7087 0.5008 0.6205
0.7532 0.1213 0.0553
0.8787 0.2468 0.4447
0.9770 0.4268 0.8141
0.4063 0.5937 0.7500
0.5937 0.4063 0.2500
0.1918 0.2962 0.0427
0.2962 0.1918 0.5427
0.7038 0.8082 0.4573
0.8082 0.7038 0.9573
0.0226 0.9774 0.2500
0.9774 0.0226 0.7500
```

***

Theoretical powder diffractogram of Ba5HAu2 for Cu Kα (λ = 1.5418 Å), from a DFT-relaxed cell (GGA-PBE, Alexandria).

Top 10 peaks for 10 to 90 degrees two-theta, by angle:
d [Å]  two_theta  Rel. int.
4.134  21.50  97
3.288  27.12  100
3.065  29.14  51
3.050  29.28  54
2.984  29.94  80
2.906  30.77  45
2.689  33.32  84
2.555  35.13  46
2.473  36.33  69
1.904  47.78  44

Structural model:
```
Ba5HAu2
1.0
15.0698 0.0000 0.0000
0.0000 4.9443 0.0000
0.0000 0.0000 18.2657
Ba H Au
20 4 8
direct
0.0032 0.2500 0.1584
0.0160 0.7500 0.3960
0.1932 0.2500 0.9615
0.2296 0.2500 0.2923
0.2476 0.7500 0.1267
0.2524 0.2500 0.6267
0.2704 0.7500 0.7923
0.3068 0.7500 0.4615
0.4840 0.2500 0.8960
0.4968 0.7500 0.6584
0.5032 0.2500 0.3416
0.5160 0.7500 0.1040
0.6932 0.2500 0.5385
0.7296 0.2500 0.2077
0.7476 0.7500 0.3733
0.7524 0.2500 0.8733
0.7704 0.7500 0.7077
0.8068 0.7500 0.0385
0.9840 0.2500 0.6040
0.9968 0.7500 0.8416
0.1816 0.2500 0.1327
0.3184 0.7500 0.6327
0.6816 0.2500 0.3673
0.8184 0.7500 0.8673
0.1247 0.2500 0.7774
0.1512 0.2500 0.4646
0.3488 0.7500 0.9646
0.3753 0.7500 0.2774
0.6247 0.2500 0.7226
0.6512 0.2500 0.0354
0.8488 0.7500 0.5354
0.8753 0.7500 0.2226
```

***

Theoretical powder diffractogram of Pm2HoPaAs4 for Cu Kα (λ = 1.5418 Å), from a DFT-relaxed cell (GGA-PBE, Alexandria).

Top 10 peaks for 10 to 90 degrees two-theta, by angle:
d [Å]  two_theta  Rel. int.
3.402  26.20  20
2.943  30.37  100
2.084  43.41  38
2.080  43.50  12
2.076  43.60  25
1.700  53.94  13
1.471  63.19  12
1.318  71.60  17
1.313  71.88  11
1.204  79.66  10

Structural model:
```
Pm2HoPaAs4
1.0
7.1820 0.0000 0.0000
0.0000 4.1663 0.0000
-2.4037 0.0000 6.8134
Pm Ho Pa As
2 1 1 4
direct
0.0000 0.0000 0.0000
0.5000 0.5000 0.0000
0.0000 0.5000 0.5000
0.5000 0.0000 0.5000
0.2494 0.0000 0.7385
0.2552 0.5000 0.2613
0.7448 0.5000 0.7387
0.7506 0.0000 0.2615
```